1.
Diffraction record for K2BeBiO6. The powder XRD pattern is theoretical, not measured: it uses the GGA-PBE geometry in Alexandria and Cu Kα (weighted mean of Kα1 and Kα2).

The 10 most intense peaks (10 to 80 degrees two-theta), by angle:
two_theta  I_rel
17.27  94
23.75  100
30.15  41
34.40  20
37.21  26
38.74  42
45.07  18
48.61  23
49.87  35
58.28  21

Cell and atoms:
```
K2BeBiO6
1.0
5.928 0.000 0.000
-2.964 5.134 0.000
0.000 0.000 5.477
K Be Bi O
2 1 1 6
direct
0.333 0.667 0.143
0.667 0.333 0.857
0.000 0.000 0.000
0.000 0.000 0.500
0.142 0.284 0.783
0.142 0.858 0.783
0.284 0.142 0.217
0.716 0.858 0.783
0.858 0.142 0.217
0.858 0.716 0.217
```


2.
Diffraction record for Be3Ir2. The powder XRD pattern is theoretical, not measured: it uses the GGA-PBE geometry in Alexandria and Cu Kα (weighted mean of Kα1 and Kα2).

The 10 most intense peaks (10 to 80 degrees two-theta), by angle:
two_theta  I_rel
23.46  78
27.77  65
32.34  100
39.10  51
40.58  72
41.54  52
45.11  33
45.58  59
47.97  26
71.10  42

Cell and atoms:
```
Be3Ir2
1.0
0.000 5.726 2.350
3.880 0.000 2.350
3.880 5.726 0.000
Be Ir
6 4
direct
0.000 0.000 0.000
0.250 0.250 0.250
0.439 0.799 0.327
0.799 0.439 0.435
0.815 0.923 0.451
0.923 0.815 0.811
0.247 0.509 0.860
0.390 0.866 0.003
0.509 0.247 0.384
0.866 0.390 0.741
```


3.
Diffraction record for TbNd5Sm5. The powder XRD pattern is theoretical, not measured: it uses the GGA-PBE geometry in Alexandria and Cu Kα (weighted mean of Kα1 and Kα2).

The 10 most intense peaks (10 to 80 degrees two-theta), by angle:
two_theta  I_rel
30.73  37
31.03  100
31.12  31
31.38  81
31.50  76
31.61  86
31.74  84
32.13  49
55.31  27
55.76  35

Cell and atoms:
```
TbNd5Sm5
1.0
7.023 0.000 0.000
2.437 6.589 0.000
2.240 1.617 8.356
Tb Nd Sm
1 5 5
direct
0.000 0.000 0.000
0.000 0.500 0.000
0.146 0.147 0.362
0.356 0.768 0.735
0.644 0.232 0.265
0.854 0.853 0.638
0.222 0.650 0.273
0.321 0.313 0.637
0.500 0.000 0.000
0.679 0.687 0.363
0.778 0.350 0.727
```


4.
Diffraction record for Ce2Hf3Ge4. The powder XRD pattern is theoretical, not measured: it uses the GGA-PBE geometry in Alexandria and Cu Kα (weighted mean of Kα1 and Kα2).

The 10 most intense peaks (10 to 80 degrees two-theta), by angle:
two_theta  I_rel
27.52  24
32.06  54
34.42  95
34.67  62
34.92  88
35.25  47
38.64  100
38.95  72
56.07  38
59.22  41

Cell and atoms:
```
Ce2Hf3Ge4
1.0
7.438 0.000 0.000
0.000 7.423 0.000
-2.471 0.000 6.869
Ce Hf Ge
4 6 8
direct
0.186 0.168 0.063
0.186 0.332 0.563
0.814 0.668 0.437
0.814 0.832 0.937
0.251 0.669 0.248
0.251 0.831 0.748
0.500 0.000 0.500
0.500 0.500 0.000
0.749 0.169 0.252
0.749 0.331 0.752
0.088 0.539 0.859
0.088 0.961 0.359
0.493 0.134 0.863
0.493 0.366 0.363
0.507 0.634 0.637
0.507 0.866 0.137
0.912 0.039 0.641
0.912 0.461 0.141
```


5.
Diffraction record for Al2Zn2Sb. The powder XRD pattern is theoretical, not measured: it uses the GGA-PBE geometry in Alexandria and Cu Kα (weighted mean of Kα1 and Kα2).

The 10 most intense peaks (10 to 80 degrees two-theta), by angle:
two_theta  I_rel
16.07  35
25.53  23
32.46  47
33.01  44
36.42  100
36.91  96
38.74  75
58.25  30
68.29  27
71.62  26

Cell and atoms:
```
Al2Zn2Sb
1.0
7.802 0.000 0.000
0.000 7.802 0.000
0.000 0.000 3.117
Al Zn Sb
4 4 2
direct
0.123 0.377 0.000
0.377 0.877 0.000
0.623 0.123 0.000
0.877 0.623 0.000
0.177 0.677 0.500
0.323 0.177 0.500
0.677 0.823 0.500
0.823 0.323 0.500
0.000 0.000 0.000
0.500 0.500 0.000
```


6.
Diffraction record for Ba3BiSb. The powder XRD pattern is theoretical, not measured: it uses the GGA-PBE geometry in Alexandria and Cu Kα (weighted mean of Kα1 and Kα2).

The 10 most intense peaks (10 to 80 degrees two-theta), by angle:
two_theta  I_rel
23.25  52
26.34  100
28.20  56
28.41  38
29.25  59
29.57  34
30.56  26
31.07  40
31.22  40
33.63  36

Cell and atoms:
```
Ba3BiSb
1.0
10.231 0.000 0.000
0.000 9.498 0.000
-1.647 0.000 9.644
Ba Bi Sb
12 4 4
direct
0.061 0.010 0.222
0.061 0.490 0.722
0.277 0.112 0.588
0.277 0.388 0.088
0.377 0.702 0.484
0.377 0.798 0.984
0.623 0.202 0.016
0.623 0.298 0.516
0.723 0.612 0.912
0.723 0.888 0.412
0.939 0.510 0.278
0.939 0.990 0.778
0.413 0.066 0.265
0.413 0.434 0.765
0.587 0.566 0.235
0.587 0.934 0.735
0.062 0.713 0.016
0.062 0.787 0.516
0.938 0.213 0.484
0.938 0.287 0.984
```